# 1
Computed X-ray diffraction stick pattern
Compound: FeAgP2
Radiation: a wavelength of 1.5418 Å
Structure: a structure optimized by DFT (PBE)
Peak positions follow from Bragg's law for the DFT cell and can differ from measured ones.

Main lines, by angle (2θ = 5–70°):
| d_spacing | two_theta | Rel. int. |
| --- | --- | --- |
| 3.405 | 26.2 | 62 |
| 3.059 | 29.2 | 34 |
| 2.676 | 33.5 | 58 |
| 2.259 | 39.9 | 45 |
| 2.033 | 44.6 | 100 |
| 2.014 | 45.0 | 34 |

Structural model:
```
8
Lattice="2.7137 0.0000 0.0000 0.0000 3.5456 0.0000 0.0000 0.0000 12.2355" Properties=species:S:1:pos:R:3 pbc="T T T"
Fe 0.0000 0.0000 0.0000
Fe 1.3568 1.7728 6.1178
Ag 0.0000 1.7728 3.4529
Ag 1.3568 0.0000 9.5707
P 0.0000 0.0000 5.4937
P 0.0000 1.7728 7.9077
P 1.3568 0.0000 1.7899
P 1.3568 1.7728 11.6115
```

***

# 2
Computed X-ray diffraction stick pattern
Compound: Fe2AgP
Radiation: a wavelength of 1.5418 Å
Structure: a structure optimized by DFT (PBE)
Peak positions follow from Bragg's law for the DFT cell and can differ from measured ones.

Main lines, by angle (2θ = 5–70°):
| d_spacing | two_theta | Rel. int. |
| --- | --- | --- |
| 3.554 | 25.1 | 19 |
| 2.866 | 31.2 | 25 |
| 2.510 | 35.8 | 70 |
| 2.229 | 40.5 | 23 |
| 2.128 | 42.5 | 100 |
| 1.900 | 47.9 | 24 |

Structural model:
```
8
Lattice="2.9903 0.0000 0.0000 0.0000 3.8003 0.0000 0.0000 0.0000 10.0303" Properties=species:S:1:pos:R:3 pbc="T T T"
Fe 0.0000 0.0000 0.0000
Fe 0.0000 1.9002 1.5872
Fe 1.4951 0.0000 6.6023
Fe 1.4951 1.9002 5.0152
Ag 0.0000 1.9002 7.7886
Ag 1.4951 0.0000 2.7735
P 0.0000 0.0000 4.9786
P 1.4951 1.9002 9.9937
```

***

# 3
Computed X-ray diffraction stick pattern
Compound: Fe4AgPb
Radiation: a wavelength of 1.5418 Å
Structure: a structure optimized by DFT (PBE)
Peak positions follow from Bragg's law for the DFT cell and can differ from measured ones.

Main lines, by angle (2θ = 5–70°):
| d_spacing | two_theta | Rel. int. |
| --- | --- | --- |
| 4.108 | 21.6 | 22 |
| 2.516 | 35.7 | 66 |
| 2.145 | 42.1 | 100 |
| 2.054 | 44.1 | 15 |
| 1.453 | 64.1 | 24 |
| 1.369 | 68.5 | 30 |

Structural model:
```
6
Lattice="0.0000 3.5579 3.5579 3.5579 0.0000 3.5579 3.5579 3.5579 0.0000" Properties=species:S:1:pos:R:3 pbc="T T T"
Fe 0.8851 0.8851 0.8851
Fe 2.6728 2.6728 0.8851
Fe 2.6728 0.8851 2.6728
Fe 0.8851 2.6728 2.6728
Ag 5.3369 5.3369 5.3369
Pb 3.5579 3.5579 3.5579
```